# 1
Diffraction record for Dy5Ag2Os2. The powder diffractogram is simulated, not measured: it uses a DFT-relaxed cell (GGA-PBE, Alexandria) and Cu Kα.

abc: 8.696 8.696 7.564
angles: 90.00 90.00 50.74
Atoms (fractional coordinates):
Dy 0.000 0.000 0.000
Dy 0.054 0.695 0.681
Dy 0.195 0.554 0.181
Dy 0.305 0.946 0.681
Dy 0.446 0.805 0.181
Dy 0.500 0.500 0.500
Dy 0.554 0.195 0.819
Dy 0.695 0.054 0.319
Dy 0.805 0.446 0.819
Dy 0.946 0.305 0.319
Ag 0.217 0.217 0.000
Ag 0.283 0.283 0.500
Ag 0.717 0.717 0.500
Ag 0.783 0.783 0.000
Os 0.117 0.883 0.381
Os 0.383 0.617 0.881
Os 0.617 0.383 0.119
Os 0.883 0.117 0.619

Top 6 peaks for 2θ from 10° to 90°, sorted by position:
Position (°2θ), I (rel.)
11.26, 77
31.55, 86
32.87, 69
33.13, 81
35.25, 100
38.11, 53

---

# 2
Diffraction record for LaHo5Ru6. The powder diffractogram is simulated, not measured: it uses a DFT-relaxed cell (GGA-PBE, Alexandria) and Cu Kα.

abc: 8.335 8.335 8.335
angles: 146.36 131.70 60.15
Atoms (fractional coordinates):
La 0.000 0.000 0.000
Ho 0.171 0.671 0.500
Ho 0.334 0.334 0.000
Ho 0.500 0.000 0.500
Ho 0.666 0.666 0.000
Ho 0.829 0.329 0.500
Ru 0.083 0.834 0.250
Ru 0.249 0.500 0.749
Ru 0.416 0.166 0.250
Ru 0.584 0.834 0.750
Ru 0.751 0.500 0.251
Ru 0.917 0.166 0.750

Top 6 peaks for 2θ from 10° to 90°, sorted by position:
Position (°2θ), I (rel.)
37.31, 100
37.40, 20
53.81, 21
67.27, 28
67.41, 14
79.55, 11

---

# 3
Diffraction record for Pm2Ga9Pd3. The powder diffractogram is simulated, not measured: it uses a DFT-relaxed cell (GGA-PBE, Alexandria) and Cu Kα.

abc: 7.746 7.746 10.654
angles: 111.16 111.16 60.06
Atoms (fractional coordinates):
Pm 0.084 0.251 0.251
Pm 0.251 0.084 0.751
Pm 0.749 0.916 0.249
Pm 0.916 0.749 0.749
Ga 0.027 0.857 0.076
Ga 0.143 0.973 0.424
Ga 0.195 0.358 0.576
Ga 0.214 0.582 0.251
Ga 0.311 0.479 0.934
Ga 0.358 0.195 0.076
Ga 0.377 0.623 0.750
Ga 0.418 0.786 0.249
Ga 0.479 0.311 0.434
Ga 0.521 0.689 0.566
Ga 0.582 0.214 0.751
Ga 0.623 0.377 0.250
Ga 0.642 0.805 0.924
Ga 0.689 0.521 0.066
Ga 0.786 0.418 0.749
Ga 0.805 0.642 0.424
Ga 0.857 0.027 0.576
Ga 0.973 0.143 0.924
Pd 0.000 0.500 0.000
Pd 0.160 0.669 0.499
Pd 0.331 0.840 0.001
Pd 0.500 0.000 0.500
Pd 0.669 0.160 0.999
Pd 0.840 0.331 0.501

Top 6 peaks for 2θ from 10° to 90°, sorted by position:
Position (°2θ), I (rel.)
29.53, 23
36.22, 100
37.13, 19
40.32, 89
50.76, 15
70.58, 22

---

# 4
Diffraction record for SrScAsH2. The powder diffractogram is simulated, not measured: it uses a DFT-relaxed cell (GGA-PBE, Alexandria) and Cu Kα.

abc: 6.302 6.302 7.254
angles: 90.00 90.00 143.83
Atoms (fractional coordinates):
Sr 0.229 0.771 0.750
Sr 0.771 0.229 0.250
Sc 0.500 0.500 0.000
Sc 0.500 0.500 0.500
As 0.047 0.953 0.250
As 0.953 0.047 0.750
H 0.333 0.667 0.058
H 0.333 0.667 0.442
H 0.667 0.333 0.558
H 0.667 0.333 0.942

Top 6 peaks for 2θ from 10° to 90°, sorted by position:
Position (°2θ), I (rel.)
24.55, 41
26.94, 39
29.83, 41
32.34, 40
34.38, 100
34.54, 85

---

# 5
Diffraction record for HfZn2Rh3. The powder diffractogram is simulated, not measured: it uses a DFT-relaxed cell (GGA-PBE, Alexandria) and Cu Kα.

abc: 4.403 4.403 5.322
angles: 90.00 90.00 120.00
Atoms (fractional coordinates):
Hf 0.000 0.000 0.000
Zn 0.333 0.667 0.671
Zn 0.667 0.333 0.329
Rh 0.000 0.000 0.500
Rh 0.333 0.667 0.181
Rh 0.667 0.333 0.819

Top 6 peaks for 2θ from 10° to 90°, sorted by position:
Position (°2θ), I (rel.)
40.99, 99
41.37, 100
59.65, 33
74.67, 16
74.93, 34
75.70, 15

---

# 6
Diffraction record for Ho4HPb2. The powder diffractogram is simulated, not measured: it uses a DFT-relaxed cell (GGA-PBE, Alexandria) and Cu Kα.

abc: 9.002 9.002 9.002
angles: 150.58 150.58 42.10
Atoms (fractional coordinates):
Ho 0.000 0.500 0.500
Ho 0.175 0.175 0.000
Ho 0.500 0.000 0.500
Ho 0.825 0.825 0.000
H 0.000 0.000 0.000
Pb 0.361 0.361 0.000
Pb 0.639 0.639 0.000

Top 6 peaks for 2θ from 10° to 90°, sorted by position:
Position (°2θ), I (rel.)
29.60, 82
31.96, 35
35.02, 100
39.41, 63
51.61, 37
68.65, 29

---

# 7
Diffraction record for Ag2BrF. The powder diffractogram is simulated, not measured: it uses a DFT-relaxed cell (GGA-PBE, Alexandria) and Cu Kα.

abc: 8.479 8.479 7.427
angles: 90.00 90.00 137.22
Atoms (fractional coordinates):
Ag 0.057 0.943 0.791
Ag 0.068 0.432 0.750
Ag 0.432 0.068 0.250
Ag 0.443 0.557 0.291
Ag 0.557 0.443 0.709
Ag 0.568 0.932 0.750
Ag 0.932 0.568 0.250
Ag 0.943 0.057 0.209
Br 0.181 0.819 0.575
Br 0.319 0.681 0.075
Br 0.681 0.319 0.925
Br 0.819 0.181 0.425
F 0.076 0.924 0.117
F 0.424 0.576 0.617
F 0.576 0.424 0.383
F 0.924 0.076 0.883

Top 6 peaks for 2θ from 10° to 90°, sorted by position:
Position (°2θ), I (rel.)
23.96, 49
25.25, 51
25.56, 95
33.37, 100
39.61, 80
43.13, 64

---

# 8
Diffraction record for Pm3S4. The powder diffractogram is simulated, not measured: it uses a DFT-relaxed cell (GGA-PBE, Alexandria) and Cu Kα.

abc: 7.380 7.380 7.380
angles: 109.47 109.47 109.47
Atoms (fractional coordinates):
Pm 0.125 0.875 0.250
Pm 0.250 0.125 0.875
Pm 0.375 0.625 0.750
Pm 0.625 0.750 0.375
Pm 0.750 0.375 0.625
Pm 0.875 0.250 0.125
S 0.000 0.148 0.500
S 0.000 0.648 0.500
S 0.148 0.500 0.000
S 0.352 0.352 0.352
S 0.500 0.000 0.148
S 0.500 0.000 0.648
S 0.648 0.500 0.000
S 0.852 0.852 0.852

Top 6 peaks for 2θ from 10° to 90°, sorted by position:
Position (°2θ), I (rel.)
25.61, 100
33.25, 92
39.57, 56
47.73, 39
54.94, 30
67.79, 36